Calculated X-ray powder pattern
Compound: Mg6Si5
Radiation: Cu Kα (weighted mean of Kα1 and Kα2)
Structure: a DFT-relaxed cell (PBE, the Materials Project)

Cell and atoms:
Lattice parameters (Å, degrees): 4.6793 6.7027 14.3449 98.66 92.17 96.88
Sites, in units of the cell vectors:
Mg: 0.0000 0.0000 0.0000
Mg: 0.0035 0.5129 0.9912
Mg: 0.3928 0.8631 0.4837
Mg: 0.4160 0.2353 0.8822
Mg: 0.4808 0.3018 0.1039
Mg: 0.5175 0.7122 0.8964
Mg: 0.5875 0.7732 0.1210
Mg: 0.8498 0.5280 0.3711
Mg: 0.8668 0.7197 0.6084
Mg: 0.9272 0.9908 0.3547
Mg: 0.9441 0.1884 0.5633
Mg: 0.9730 0.4538 0.7758
Si: 0.0314 0.5217 0.1775
Si: 0.2223 0.8566 0.7683
Si: 0.3400 0.4961 0.5237
Si: 0.3632 0.7374 0.2939
Si: 0.4157 0.0968 0.2550
Si: 0.4573 0.4039 0.6798
Si: 0.4823 0.2183 0.4223
Si: 0.4929 0.0430 0.6656
Si: 0.8160 0.0211 0.8049
Si: 0.9498 0.1603 0.1935

Top 10 peaks for 10 to 90 degrees two-theta, by angle:
2θ 31.29, I 71; 2θ 32.58, I 45; 2θ 32.69, I 41; 2θ 35.02, I 43; 2θ 35.43, I 40; 2θ 35.78, I 77; 2θ 36.21, I 89; 2θ 38.17, I 100; 2θ 38.83, I 68; 2θ 43.58, I 42

Calculated X-ray powder pattern
Compound: Ni3Sn
Radiation: Cu Kα (weighted mean of Kα1 and Kα2)
Structure: a DFT-relaxed cell (PBE, the Materials Project)

Cell and atoms:
Lattice parameters (Å, degrees): 4.2457 5.3133 4.5626 90.00 90.00 90.00
Sites, in units of the cell vectors:
Ni: 0.2500 0.0031 0.1645
Ni: 0.2500 0.4969 0.1645
Ni: 0.2500 0.7500 0.6922
Ni: 0.7500 0.2500 0.3078
Ni: 0.7500 0.5031 0.8355
Ni: 0.7500 0.9969 0.8355
Sn: 0.2500 0.2500 0.6662
Sn: 0.7500 0.7500 0.3338

Top 10 peaks for 10 to 90 degrees two-theta, by angle:
2θ 39.24, I 22; 2θ 39.50, I 14; 2θ 42.59, I 38; 2θ 44.88, I 100; 2θ 45.12, I 44; 2θ 59.29, I 13; 2θ 71.48, I 15; 2θ 79.57, I 18; 2θ 86.91, I 18; 2θ 88.17, I 13

Calculated X-ray powder pattern
Compound: K2RbSbI6
Radiation: Cu Kα (weighted mean of Kα1 and Kα2)
Structure: a DFT-relaxed cell (PBE, the Materials Project)

Cell and atoms:
Lattice parameters (Å, degrees): 9.1594 9.1594 9.1594 60.00 60.00 60.00
Sites, in units of the cell vectors:
K: 0.2500 0.2500 0.2500
K: 0.7500 0.7500 0.7500
Rb: 0.0000 0.0000 0.0000
Sb: 0.5000 0.5000 0.5000
I: 0.2667 0.2667 0.7333
I: 0.2667 0.7333 0.2667
I: 0.2667 0.7333 0.7333
I: 0.7333 0.2667 0.2667
I: 0.7333 0.2667 0.7333
I: 0.7333 0.7333 0.2667

Top 10 peaks for 10 to 90 degrees two-theta, by angle:
2θ 13.67, I 72; 2θ 23.80, I 69; 2θ 27.54, I 100; 2θ 30.87, I 37; 2θ 39.35, I 72; 2θ 41.84, I 20; 2θ 46.50, I 28; 2θ 48.70, I 25; 2θ 64.32, I 29; 2θ 71.34, I 20

Number 2 is which compound? Ni3Sn